[1]
For LiFe2F5, a GGA+U-relaxed structure gives the theoretical powder diffractogram in this record (copper Kα).

Structure:
```
LiFe2F5
1.0
6.316 0.000 0.000
-1.570 7.892 0.000
-0.168 -2.509 8.493
Li Fe F
4 8 20
Direct
0.209 0.439 0.294
0.211 0.167 0.807
0.789 0.833 0.193
0.791 0.561 0.706
0.170 0.793 0.542
0.187 0.794 0.046
0.393 0.114 0.355
0.394 0.583 0.840
0.606 0.417 0.160
0.607 0.886 0.645
0.813 0.206 0.954
0.830 0.207 0.458
0.002 0.732 0.754
0.002 0.769 0.244
0.217 0.037 0.559
0.219 0.572 0.547
0.222 0.577 0.059
0.233 0.033 0.053
0.385 0.827 0.826
0.392 0.867 0.369
0.398 0.345 0.331
0.404 0.354 0.881
0.596 0.646 0.119
0.602 0.655 0.669
0.608 0.133 0.631
0.615 0.173 0.174
0.767 0.967 0.947
0.778 0.423 0.941
0.781 0.428 0.453
0.783 0.963 0.441
0.998 0.231 0.756
0.998 0.268 0.246
```

Top 10 peaks for 10° ≤ 2θ ≤ 90°, by intensity:
- 37.30 deg, rel. 100
- 44.02 deg, rel. 67
- 17.77 deg, rel. 59
- 24.92 deg, rel. 50
- 20.75 deg, rel. 49
- 47.58 deg, rel. 46
- 20.37 deg, rel. 45
- 47.21 deg, rel. 45
- 16.53 deg, rel. 33
- 59.21 deg, rel. 27

***

[2]
For LiFeF3, a GGA+U-relaxed structure gives the theoretical powder diffractogram in this record (copper Kα).

Structure:
```
LiFeF3
1.0
4.041 0.000 0.000
0.000 5.809 0.000
-1.886 0.000 5.238
Li Fe F
2 2 6
Direct
0.189 0.250 0.064
0.811 0.750 0.936
0.018 0.750 0.503
0.982 0.250 0.497
0.123 0.008 0.798
0.123 0.492 0.798
0.460 0.250 0.436
0.540 0.750 0.564
0.877 0.508 0.202
0.877 0.992 0.202
```

Top 10 peaks for 10° ≤ 2θ ≤ 90°, by intensity:
- 16.93 deg, rel. 100
- 23.40 deg, rel. 61
- 35.34 deg, rel. 59
- 46.70 deg, rel. 40
- 23.81 deg, rel. 34
- 44.88 deg, rel. 26
- 46.81 deg, rel. 25
- 46.13 deg, rel. 22
- 66.04 deg, rel. 18
- 58.76 deg, rel. 15

***

[3]
For Li2FeF6, a GGA+U-relaxed structure gives the theoretical powder diffractogram in this record (copper Kα).

Structure:
```
Li2FeF6
1.0
4.768 0.000 0.000
0.000 4.768 0.000
0.000 0.000 8.878
Li Fe F
4 2 12
Direct
0.000 0.000 0.154
0.000 0.000 0.846
0.500 0.500 0.346
0.500 0.500 0.654
0.000 0.000 0.500
0.500 0.500 0.000
0.185 0.185 0.347
0.185 0.185 0.653
0.211 0.211 0.000
0.289 0.711 0.500
0.315 0.685 0.153
0.315 0.685 0.847
0.685 0.315 0.153
0.685 0.315 0.847
0.711 0.289 0.500
0.789 0.789 0.000
0.815 0.815 0.347
0.815 0.815 0.653
```

Top 10 peaks for 10° ≤ 2θ ≤ 90°, by intensity:
- 21.15 deg, rel. 100
- 26.44 deg, rel. 53
- 40.56 deg, rel. 46
- 52.93 deg, rel. 36
- 20.00 deg, rel. 35
- 33.37 deg, rel. 23
- 66.81 deg, rel. 21
- 42.39 deg, rel. 19
- 43.65 deg, rel. 18
- 54.43 deg, rel. 15

***

[4]
For LiFeF3, a GGA+U-relaxed structure gives the theoretical powder diffractogram in this record (copper Kα).

Structure:
```
LiFeF3
1.0
4.832 0.000 0.000
0.012 5.063 0.000
0.008 2.440 4.451
Li Fe F
2 2 6
Direct
0.000 0.000 0.000
0.500 0.001 0.003
0.002 0.335 0.334
0.502 0.667 0.666
0.251 0.317 0.003
0.251 0.685 0.316
0.252 0.996 0.685
0.751 0.007 0.315
0.751 0.318 0.685
0.752 0.686 0.997
```

Top 10 peaks for 10° ≤ 2θ ≤ 90°, by intensity:
- 27.26 deg, rel. 100
- 27.55 deg, rel. 50
- 52.29 deg, rel. 36
- 40.15 deg, rel. 24
- 51.81 deg, rel. 24
- 44.86 deg, rel. 18
- 19.97 deg, rel. 17
- 39.56 deg, rel. 17
- 52.42 deg, rel. 12
- 45.64 deg, rel. 11